Entry 1:
For La3DyEr, DFT lattice parameters and positions (PBE) gives the simulated PXRD pattern in this record (Cu Ka).
Intensities are scaled so that the largest is 100.

Largest 10 diffraction maxima, sorted by position, 10° ≤ 2θ ≤ 90°:
| d/Å | 2θ (°) | I (rel.) | hkl |
| --- | --- | --- | --- |
| 3.422 | 26.04 | 22 | 0 2 3 |
| 3.368 | 26.46 | 25 | 1 1 1 |
| 2.955 | 30.24 | 31 | 0 6 0 |
| 2.857 | 31.31 | 11 | 0 6 1 |
| 2.845 | 31.45 | 24 | 0 4 3 |
| 2.782 | 32.17 | 16 | 0 0 4 |
| 2.694 | 33.26 | 100 | 1 3 2 |
| 1.883 | 48.33 | 13 | 1 1 5 |
| 1.803 | 50.62 | 11 | 2 0 0 |
| 1.651 | 55.67 | 11 | 1 9 2 |

Cell and atoms:
```
La3DyEr
1.0
3.6063 0.0000 0.0000
0.0000 17.7318 0.0000
0.0000 0.0000 11.1291
La Dy Er
12 4 4
Direct
0.2385 0.2500 0.0000 La
0.2385 0.2500 0.5000 La
0.2563 0.5754 0.0583 La
0.2563 0.5754 0.4417 La
0.2563 0.9246 0.5583 La
0.2563 0.9246 0.9417 La
0.7437 0.0754 0.0583 La
0.7437 0.0754 0.4417 La
0.7437 0.4246 0.5583 La
0.7437 0.4246 0.9417 La
0.7615 0.7500 0.0000 La
0.7615 0.7500 0.5000 La
0.2344 0.1030 0.7500 Dy
0.2344 0.3970 0.2500 Dy
0.7656 0.6030 0.7500 Dy
0.7656 0.8970 0.2500 Dy
0.2654 0.7265 0.2500 Er
0.2654 0.7735 0.7500 Er
0.7346 0.2265 0.2500 Er
0.7346 0.2735 0.7500 Er
```



Entry 2:
For Ca2CuRu, DFT lattice parameters and positions (PBE) gives the simulated PXRD pattern in this record (Cu Ka).
Intensities are scaled so that the largest is 100.

Largest 10 diffraction maxima, sorted by position, 10° ≤ 2θ ≤ 90°:
| d/Å | 2θ (°) | I (rel.) | hkl |
| --- | --- | --- | --- |
| 8.106 | 10.92 | 100 | 0 0 1 |
| 2.702 | 33.16 | 9 | 0 0 3 |
| 2.610 | 34.36 | 30 | 1 0 2 |
| 2.412 | 37.27 | 34 | 1 1 0 |
| 2.312 | 38.95 | 19 | 1 1 1 |
| 2.118 | 42.69 | 30 | 1 0 3 |
| 1.800 | 50.73 | 10 | 1 1 3 |
| 1.706 | 53.73 | 11 | 2 0 0 |
| 1.428 | 65.35 | 8 | 2 1 2 |
| 1.329 | 70.94 | 12 | 2 1 3 |

Cell and atoms:
```
Ca2CuRu
1.0
3.4118 0.0000 0.0000
0.0000 3.4118 0.0000
0.0000 0.0000 8.1058
Ca Cu Ru
2 1 1
Direct
0.0000 0.0000 0.0000 Ca
0.5000 0.5000 0.4191 Ca
0.0000 0.0000 0.6538 Cu
0.5000 0.5000 0.7612 Ru
```



Entry 3:
For Tl9Hg2Te4, DFT lattice parameters and positions (PBE) gives the simulated PXRD pattern in this record (Cu Ka).
Intensities are scaled so that the largest is 100.

Largest 10 diffraction maxima, sorted by position, 10° ≤ 2θ ≤ 90°:
| d/Å | 2θ (°) | I (rel.) | hkl |
| --- | --- | --- | --- |
| 3.346 | 26.64 | 100 | 0 1 5 |
| 3.141 | 28.42 | 87 | 1 0 6 |
| 2.415 | 37.23 | 27 | 1 0 10 |
| 2.319 | 38.83 | 82 | 1 1 0 |
| 2.014 | 45.01 | 20 | 0 0 15 |
| 1.906 | 47.72 | 22 | 2 0 5 |
| 1.866 | 48.82 | 20 | 0 2 6 |
| 1.521 | 60.91 | 35 | 1 1 15 |
| 1.472 | 63.14 | 19 | 1 2 5 |
| 1.356 | 69.31 | 20 | 1 0 21 |

Cell and atoms:
```
Tl9Hg2Te4
1.0
4.6380 0.0000 0.0000
-2.3190 4.0166 0.0000
0.0000 0.0000 30.2295
Tl Hg Te
9 2 4
Direct
0.0000 0.0000 0.0000 Tl
0.0000 0.0000 0.1917 Tl
0.0000 0.0000 0.3366 Tl
0.0000 0.0000 0.6634 Tl
0.0000 0.0000 0.8083 Tl
0.3333 0.6667 0.0711 Tl
0.3333 0.6667 0.4560 Tl
0.6667 0.3333 0.5440 Tl
0.6667 0.3333 0.9289 Tl
0.3333 0.6667 0.2622 Hg
0.6667 0.3333 0.7378 Hg
0.3333 0.6667 0.6040 Te
0.3333 0.6667 0.8694 Te
0.6667 0.3333 0.1306 Te
0.6667 0.3333 0.3960 Te
```